Diffraction record for CsCoCl3. The X-ray diffraction stick pattern is simulated, not measured: it uses the GGA-PBE geometry in OQMD and a wavelength of 1.5418 Å.
Intensities are scaled so that the largest is 100.

Principal peaks in the range 10° ≤ 2θ ≤ 90°, low angle first:
20.78°, intensity 53, hkl 1 0 1; 24.76°, intensity 60, hkl 1 1 0; 32.54°, intensity 100, hkl 2 0 1; 33.73°, intensity 22, hkl 1 0 2; 42.29°, intensity 36, hkl 2 0 2; 49.63°, intensity 23, hkl 2 1 2; 50.79°, intensity 27, hkl 2 2 0; 55.43°, intensity 29, hkl 2 0 3; 61.62°, intensity 18, hkl 4 0 1; 83.82°, intensity 15, hkl 4 2 1

```
data_CsCoCl3
_chemical_formula_sum 'Cs2 Co2 Cl6'
_symmetry_space_group_name_H-M 'P 63/m m c'
_symmetry_Int_Tables_number 194
_symmetry_space_group_name_Hall '-P 6c 2c'
_cell_length_a 7.1907
_cell_length_b 7.1907
_cell_length_c 5.8762
_cell_angle_alpha 90.00
_cell_angle_beta 90.00
_cell_angle_gamma 120.00
loop_
_atom_site_label
_atom_site_type_symbol
_atom_site_fract_x
_atom_site_fract_y
_atom_site_fract_z
_atom_site_occupancy
Cs1 Cs 0.3333 0.6667 0.2500 1
Co1 Co 0.0000 0.0000 0.0000 1
Cl1 Cl 0.1551 0.3102 0.7500 1
```

---

Diffraction record for Cs3Co2Cl9. The X-ray diffraction stick pattern is simulated, not measured: it uses the GGA-PBE geometry in OQMD and a wavelength of 1.5418 Å.
Intensities are scaled so that the largest is 100.

Principal peaks in the range 10° ≤ 2θ ≤ 90°, low angle first:
17.28°, intensity 37, hkl 1 0 2; 20.58°, intensity 37, hkl 1 0 3; 24.56°, intensity 100, hkl 1 1 0; 28.79°, intensity 32, hkl 1 0 5; 30.05°, intensity 26, hkl 0 0 6; 30.20°, intensity 51, hkl 2 0 2; 32.27°, intensity 69, hkl 2 0 3; 34.97°, intensity 49, hkl 2 0 4; 45.94°, intensity 40, hkl 2 1 5; 50.39°, intensity 35, hkl 2 2 0

```
data_Cs3Co2Cl9
_chemical_formula_sum 'Cs6 Co4 Cl18'
_symmetry_space_group_name_H-M 'P 63/m m c'
_symmetry_Int_Tables_number 194
_symmetry_space_group_name_Hall '-P 6c 2c'
_cell_length_a 7.2435
_cell_length_b 7.2435
_cell_length_c 17.8403
_cell_angle_alpha 90.00
_cell_angle_beta 90.00
_cell_angle_gamma 120.00
loop_
_atom_site_label
_atom_site_type_symbol
_atom_site_fract_x
_atom_site_fract_y
_atom_site_fract_z
_atom_site_occupancy
Cs1 Cs 0.0000 0.0000 0.2500 1
Cs2 Cs 0.3333 0.6667 0.0731 1
Co1 Co 0.3333 0.6667 0.6674 1
Cl1 Cl 0.0505 0.5252 0.7500 1
Cl2 Cl 0.1860 0.3720 0.5976 1
```

---

Diffraction record for CsCo2Cl5. The X-ray diffraction stick pattern is simulated, not measured: it uses the GGA-PBE geometry in OQMD and a wavelength of 1.5418 Å.
Intensities are scaled so that the largest is 100.

Principal peaks in the range 10° ≤ 2θ ≤ 90°, low angle first:
16.74°, intensity 51, hkl 1 1 0; 19.98°, intensity 43, hkl 1 1 2; 26.17°, intensity 100, hkl 2 0 2; 27.17°, intensity 75, hkl 2 1 1; 27.58°, intensity 85, hkl 1 1 4; 33.84°, intensity 55, hkl 2 2 0; 37.98°, intensity 57, hkl 3 1 0; 40.60°, intensity 41, hkl 2 2 4; 40.99°, intensity 32, hkl 2 0 6; 53.86°, intensity 31, hkl 4 0 4

```
data_CsCo2Cl5
_chemical_formula_sum 'Cs4 Co8 Cl20'
_symmetry_space_group_name_H-M 'I 4/m c m'
_symmetry_Int_Tables_number 140
_symmetry_space_group_name_Hall '-I 4 2c'
_cell_length_a 7.491
_cell_length_b 7.491
_cell_length_c 16.333
_cell_angle_alpha 90.00
_cell_angle_beta 90.00
_cell_angle_gamma 90.00
loop_
_atom_site_label
_atom_site_type_symbol
_atom_site_fract_x
_atom_site_fract_y
_atom_site_fract_z
_atom_site_occupancy
Cs1 Cs 0.000 0.000 0.250 1
Co1 Co 0.215 0.285 0.000 1
Cl1 Cl 0.000 0.000 0.000 1
Cl2 Cl 0.163 0.337 0.127 1
```

---

Diffraction record for CsCo2Cl7. The X-ray diffraction stick pattern is simulated, not measured: it uses the GGA-PBE geometry in OQMD and a wavelength of 1.5418 Å.
Intensities are scaled so that the largest is 100.

Principal peaks in the range 10° ≤ 2θ ≤ 90°, low angle first:
16.37°, intensity 58, hkl 1 1 0; 18.27°, intensity 100, hkl 1 0 -1; 19.96°, intensity 53, hkl 1 1 -1; 20.93°, intensity 56, hkl 1 1 1; 25.82°, intensity 64, hkl 0 1 2; 33.08°, intensity 71, hkl 2 2 0; 33.45°, intensity 57, hkl 1 2 2; 37.10°, intensity 59, hkl 1 3 -2; 37.88°, intensity 52, hkl 2 3 0; 38.20°, intensity 50, hkl 1 3 2

```
data_CsCo2Cl7
_chemical_formula_sum 'Cs2 Co4 Cl14'
_symmetry_space_group_name_H-M 'P 1 21/m 1'
_symmetry_Int_Tables_number 11
_cell_length_a 6.221
_cell_length_b 11.064
_cell_length_c 7.276
_cell_angle_alpha 90.00
_cell_angle_beta 93.21
_cell_angle_gamma 90.00
loop_
_symmetry_equiv_pos_as_xyz
'x,y,z'
'-x,-y,-z'
'-x,y+1/2,-z'
'x,-y+1/2,z'
loop_
_atom_site_label
_atom_site_type_symbol
_atom_site_fract_x
_atom_site_fract_y
_atom_site_fract_z
_atom_site_occupancy
Cs1 Cs 0.068 0.250 0.375 1
Co1 Co 0.416 0.118 0.881 1
Cl1 Cl 0.136 0.250 0.877 1
Cl2 Cl 0.261 0.008 0.656 1
Cl3 Cl 0.289 0.502 0.098 1
Cl4 Cl 0.440 0.750 0.903 1
Cl5 Cl 0.447 0.750 0.319 1
```

---

Diffraction record for CoCuICl3. The X-ray diffraction stick pattern is simulated, not measured: it uses the GGA-PBE geometry in OQMD and a wavelength of 1.5418 Å.
Intensities are scaled so that the largest is 100.

Principal peaks in the range 10° ≤ 2θ ≤ 90°, low angle first:
17.66°, intensity 82, hkl 1 0 1; 17.81°, intensity 88, hkl 0 1 1; 21.63°, intensity 23, hkl 1 1 1; 27.02°, intensity 59, hkl 1 1 0; 27.18°, intensity 60, hkl 1 -1 1; 28.31°, intensity 100, hkl 1 1 2; 44.03°, intensity 25, hkl 2 2 2; 44.16°, intensity 25, hkl 2 -2 0; 45.16°, intensity 23, hkl 0 2 -1; 47.11°, intensity 22, hkl 2 0 -1

```
data_CoCuICl3
_chemical_formula_sum 'Co1 Cu1 I1 Cl3'
_symmetry_space_group_name_H-M 'P 1'
_symmetry_Int_Tables_number 1
_cell_length_a 5.743
_cell_length_b 5.888
_cell_length_c 6.468
_cell_angle_alpha 66.06
_cell_angle_beta 63.85
_cell_angle_gamma 89.82
loop_
_symmetry_equiv_pos_as_xyz
'x,y,z'
loop_
_atom_site_label
_atom_site_type_symbol
_atom_site_fract_x
_atom_site_fract_y
_atom_site_fract_z
_atom_site_occupancy
Co1 Co 0.000 0.000 0.000 1
Cu1 Cu 0.736 0.220 0.523 1
I1 I 0.620 0.619 0.258 1
Cl1 Cl 0.079 0.104 0.258 1
Cl2 Cl 0.360 0.906 0.758 1
Cl3 Cl 0.873 0.313 0.767 1
```

---

Diffraction record for Gd6CoCl10. The X-ray diffraction stick pattern is simulated, not measured: it uses the GGA-PBE geometry in OQMD and a wavelength of 1.5418 Å.
Intensities are scaled so that the largest is 100.

Principal peaks in the range 10° ≤ 2θ ≤ 90°, low angle first:
11.01°, intensity 100, hkl 0 0 1; 11.53°, intensity 98, hkl 0 1 0; 12.31°, intensity 55, hkl 0 1 -1; 13.42°, intensity 45, hkl 1 0 0; 22.15°, intensity 45, hkl 0 0 2; 31.71°, intensity 96, hkl 1 1 -3; 31.81°, intensity 95, hkl 2 0 1; 32.65°, intensity 87, hkl 1 -3 0; 44.86°, intensity 33, hkl 3 1 -2; 45.66°, intensity 35, hkl 0 4 -3

```
data_Gd6CoCl10
_chemical_formula_sum 'Gd6 Co1 Cl10'
_symmetry_space_group_name_H-M 'P -1'
_symmetry_Int_Tables_number 2
_cell_length_a 7.130
_cell_length_b 8.778
_cell_length_c 8.860
_cell_angle_alpha 110.34
_cell_angle_beta 97.15
_cell_angle_gamma 106.99
loop_
_symmetry_equiv_pos_as_xyz
'x,y,z'
'-x,-y,-z'
loop_
_atom_site_label
_atom_site_type_symbol
_atom_site_fract_x
_atom_site_fract_y
_atom_site_fract_z
_atom_site_occupancy
Gd1 Gd 0.023 0.196 0.398 1
Gd2 Gd 0.135 0.551 0.253 1
Gd3 Gd 0.375 0.649 0.697 1
Co1 Co 0.000 0.500 0.500 1
Cl1 Cl 0.093 0.872 0.337 1
Cl2 Cl 0.197 0.237 0.143 1
Cl3 Cl 0.250 0.582 0.957 1
Cl4 Cl 0.366 0.969 0.784 1
Cl5 Cl 0.447 0.325 0.575 1
```

---

Diffraction record for GdCoCl6. The X-ray diffraction stick pattern is simulated, not measured: it uses the GGA-PBE geometry in OQMD and a wavelength of 1.5418 Å.
Intensities are scaled so that the largest is 100.

Principal peaks in the range 10° ≤ 2θ ≤ 90°, low angle first:
14.85°, intensity 98, hkl 0 0 1; 16.07°, intensity 23, hkl 0 2 0; 16.81°, intensity 43, hkl 1 1 0; 18.87°, intensity 32, hkl 1 1 -1; 21.94°, intensity 23, hkl 0 2 1; 28.44°, intensity 44, hkl 2 0 -1; 34.55°, intensity 100, hkl 1 3 1; 49.54°, intensity 29, hkl 0 6 0; 49.79°, intensity 31, hkl 2 0 2; 52.01°, intensity 21, hkl 3 3 0

```
data_GdCoCl6
_chemical_formula_sum 'Gd2 Co2 Cl12'
_symmetry_space_group_name_H-M 'C 1 2 1'
_symmetry_Int_Tables_number 5
_cell_length_a 6.379
_cell_length_b 11.032
_cell_length_c 6.339
_cell_angle_alpha 90.00
_cell_angle_beta 109.73
_cell_angle_gamma 90.00
loop_
_symmetry_equiv_pos_as_xyz
'x,y,z'
'-x,y,-z'
'x+1/2,y+1/2,z'
'-x+1/2,y+1/2,-z'
loop_
_atom_site_label
_atom_site_type_symbol
_atom_site_fract_x
_atom_site_fract_y
_atom_site_fract_z
_atom_site_occupancy
Gd1 Gd 0.000 0.000 0.000 1
Co1 Co 0.000 0.667 0.000 1
Cl1 Cl 0.212 0.669 0.776 1
Cl2 Cl 0.218 0.523 0.229 1
Cl3 Cl 0.221 0.810 0.230 1
```

---

What is the formula in the second record?
Cs3Co2Cl9